Structure and computed powder X-ray diffraction pattern of Cu5As2O10 (a structure optimized by DFT (PBE); Cu Ka).

The 10 most intense peaks (2θ = 10–80°), low angle first:
Position (°2θ), I_rel, (hkl)
23.48, 40, 1 1 0
25.15, 38, 1 -1 1
29.48, 71, 0 1 -2
29.92, 100, 1 1 1
32.21, 53, 1 -2 0
34.58, 22, 0 1 2
35.16, 46, 1 2 -1
35.97, 48, 2 0 -1
36.84, 26, -1 2 1
39.47, 22, 2 -1 1

Crystal structure
```
data_Cu5As2O10
_cell_length_a 5.2383
_cell_length_b 6.3128
_cell_length_c 6.3921
_cell_angle_alpha 100.50
_cell_angle_beta 95.47
_cell_angle_gamma 94.65
_symmetry_space_group_name_H-M 'P -1'
_symmetry_Int_Tables_number 2
_symmetry_space_group_name_Hall '-P 1'
loop_
_atom_site_label
_atom_site_fract_x
_atom_site_fract_y
_atom_site_fract_z
_atom_site_occupancy
Cu1 0.0000 0.0000 0.0000 1
Cu2 0.1433 0.6613 0.2208 1
Cu3 0.2523 0.1231 0.5480 1
As1 0.4035 0.6618 0.7696 1
O1 0.0191 0.9425 0.2860 1
O2 0.1900 0.4354 0.6652 1
O3 0.2838 0.8126 0.9902 1
O4 0.2914 0.3910 0.1465 1
O5 0.4223 0.8142 0.5681 1
```

Structure and computed powder X-ray diffraction pattern of CuAs2Pb3O8 (a structure optimized by DFT (PBE); Cu Ka).

The 10 most intense peaks (2θ = 10–80°), low angle first:
Position (°2θ), I_rel, (hkl)
21.46, 41, 1 0 1
29.94, 92, 0 1 2
31.11, 100, 1 1 0
38.11, 19, 0 2 1
43.72, 44, 2 0 2
48.41, 16, 1 1 3
52.40, 20, 1 0 4
54.63, 36, 1 2 2
55.36, 20, 3 0 0
71.19, 17, 2 1 4

Crystal structure
```
data_CuAs2Pb3O8
_cell_length_a 5.7490
_cell_length_b 5.7490
_cell_length_c 7.4582
_cell_angle_alpha 90.00
_cell_angle_beta 90.00
_cell_angle_gamma 120.00
_symmetry_space_group_name_H-M 'P -3 m 1'
_symmetry_Int_Tables_number 164
_symmetry_space_group_name_Hall '-P 3 2"'
loop_
_atom_site_label
_atom_site_fract_x
_atom_site_fract_y
_atom_site_fract_z
_atom_site_occupancy
Cu1 0.0000 0.0000 0.0000 1
As1 0.3333 0.6667 0.7030 1
Pb1 0.0000 0.0000 0.5000 1
Pb2 0.3333 0.6667 0.1630 1
O1 0.1680 0.3360 0.7871 1
O2 0.3333 0.6667 0.4702 1
```

Structure and computed powder X-ray diffraction pattern of CuAsPbO5 (a structure optimized by DFT (PBE); Cu Ka).

The 10 most intense peaks (2θ = 10–80°), low angle first:
Position (°2θ), I_rel, (hkl)
15.95, 38, 1 1 0
20.41, 18, 0 2 0
24.17, 100, 1 1 -2
24.65, 77, 2 0 0
32.60, 50, 2 2 -2
33.29, 50, 1 3 0
34.74, 27, 3 1 -2
34.85, 27, 1 1 2
49.17, 51, 3 3 0
56.75, 28, 3 3 -4

Crystal structure
```
data_CuAsPbO5
_cell_length_a 8.2995
_cell_length_b 8.7011
_cell_length_c 8.1296
_cell_angle_alpha 90.00
_cell_angle_beta 119.52
_cell_angle_gamma 90.00
_symmetry_space_group_name_H-M 'C 1 2/c 1'
_symmetry_Int_Tables_number 15
_symmetry_space_group_name_Hall '-C 2yc'
loop_
_atom_site_label
_atom_site_fract_x
_atom_site_fract_y
_atom_site_fract_z
_atom_site_occupancy
Cu1 0.0000 0.1859 0.2500 1
As1 0.0000 0.1342 0.7500 1
Pb1 0.0000 0.5000 0.0000 1
O1 0.0000 0.3965 0.2500 1
O2 0.0055 0.2389 0.9304 1
O3 0.1731 0.0101 0.3340 1
```

Repeat the third record exactly.
Structure and computed powder X-ray diffraction pattern of CuAsPbO5 (a structure optimized by DFT (PBE); Cu Ka).

The 10 most intense peaks (2θ = 10–80°), low angle first:
Position (°2θ), I_rel, (hkl)
15.95, 38, 1 1 0
20.41, 18, 0 2 0
24.17, 100, 1 1 -2
24.65, 77, 2 0 0
32.60, 50, 2 2 -2
33.29, 50, 1 3 0
34.74, 27, 3 1 -2
34.85, 27, 1 1 2
49.17, 51, 3 3 0
56.75, 28, 3 3 -4

Crystal structure
```
data_CuAsPbO5
_cell_length_a 8.2995
_cell_length_b 8.7011
_cell_length_c 8.1296
_cell_angle_alpha 90.00
_cell_angle_beta 119.52
_cell_angle_gamma 90.00
_symmetry_space_group_name_H-M 'C 1 2/c 1'
_symmetry_Int_Tables_number 15
_symmetry_space_group_name_Hall '-C 2yc'
loop_
_atom_site_label
_atom_site_fract_x
_atom_site_fract_y
_atom_site_fract_z
_atom_site_occupancy
Cu1 0.0000 0.1859 0.2500 1
As1 0.0000 0.1342 0.7500 1
Pb1 0.0000 0.5000 0.0000 1
O1 0.0000 0.3965 0.2500 1
O2 0.0055 0.2389 0.9304 1
O3 0.1731 0.0101 0.3340 1
```

- What is the formula in the second record?
  CuAs2Pb3O8